This entry pairs a crystal structure of Ce3B2C4 with its theoretical X-ray powder pattern. Radiation: copper Kα. Structure: a structure optimized by DFT (GGA-PBE).
Kinematic intensities with the Lorentz-polarization factor, no thermal factor.

Largest 10 diffraction maxima, in order of rising 2θ, 2θ from 10° to 90°:
| 2theta | d (Å) | I_rel |
| --- | --- | --- |
| 26.09 | 3.416 | 22 |
| 28.00 | 3.187 | 75 |
| 28.64 | 3.117 | 45 |
| 32.99 | 2.715 | 100 |
| 39.11 | 2.303 | 33 |
| 48.12 | 1.891 | 23 |
| 50.32 | 1.813 | 17 |
| 53.54 | 1.712 | 22 |
| 56.96 | 1.617 | 24 |
| 59.07 | 1.564 | 19 |

Crystal structure
Lattice parameters (Å, degrees): 6.6235 6.6235 6.6235 148.56 123.83 65.80
Sites, in units of the cell vectors:
Ce 0.0000 0.0000 0.0000
Ce 0.3044 0.8044 0.5000
Ce 0.6956 0.1956 0.5000
B 0.3424 0.5000 0.8424
B 0.6576 0.5000 0.1576
C 0.1153 0.3764 0.7389
C 0.3625 0.6236 0.7389
C 0.6375 0.3764 0.2611
C 0.8847 0.6236 0.2611